Record 1
Structure and simulated powder diffraction line list of Rb2HfTe3 (DFT lattice parameters and positions (PBE); Cu Kα X-rays).
Peak positions follow from Bragg's law for the DFT cell and can differ from measured ones.

Largest 10 diffraction maxima, sorted by position, 5 to 70 degrees two-theta:
(hkl)  d/Å  2theta  I/Imax
0 0 1  11.835  7.47  26
1 0 0  8.871  9.97  27
1 0 -1  7.481  11.83  25
2 0 2  3.384  26.33  47
1 1 -2  3.325  26.81  100
1 1 -3  2.836  31.55  15
3 1 0  2.443  36.78  34
1 1 4  2.306  39.05  27
0 2 0  2.169  41.64  19
2 2 2  1.826  49.94  16

```
Rb2HfTe3
1.0
8.919 0.000 0.000
0.000 4.338 0.000
-1.237 0.000 11.835
Rb Hf Te
4 2 6
direct
0.081 0.250 0.141
0.249 0.750 0.483
0.751 0.250 0.517
0.919 0.750 0.859
0.405 0.250 0.831
0.595 0.750 0.169
0.132 0.250 0.701
0.321 0.750 0.986
0.453 0.250 0.285
0.547 0.750 0.715
0.679 0.250 0.014
0.868 0.750 0.299
```


Record 2
Structure and simulated powder diffraction line list of CsTh3F13 (DFT lattice parameters and positions (PBE); Cu Kα X-rays).
Peak positions follow from Bragg's law for the DFT cell and can differ from measured ones.

Largest 10 diffraction maxima, sorted by position, 5 to 70 degrees two-theta:
(hkl)  d/Å  2theta  I/Imax
1 1 1  4.602  19.29  37
1 0 2  3.757  23.68  38
0 1 2  3.693  24.10  56
2 1 0  3.542  25.14  100
0 2 1  3.419  26.07  90
2 1 1  3.269  27.28  70
2 0 2  2.921  30.60  40
2 3 1  2.054  44.09  59
2 2 3  1.968  46.12  79
0 4 0  1.869  48.73  35

```
CsTh3F13
1.0
8.046 0.000 0.000
0.000 7.468 0.000
0.000 0.000 8.499
Cs Th F
2 6 26
direct
0.000 0.106 0.000
0.000 0.894 0.500
0.247 0.395 0.629
0.247 0.605 0.129
0.500 0.111 0.288
0.500 0.889 0.788
0.753 0.395 0.629
0.753 0.605 0.129
0.000 0.229 0.661
0.000 0.437 0.152
0.000 0.563 0.652
0.000 0.771 0.161
0.192 0.452 0.892
0.192 0.548 0.392
0.241 0.180 0.429
0.241 0.820 0.929
0.300 0.109 0.746
0.300 0.891 0.246
0.328 0.308 0.151
0.328 0.692 0.651
0.500 0.036 0.023
0.500 0.365 0.470
0.500 0.393 0.761
0.500 0.607 0.261
0.500 0.635 0.970
0.500 0.964 0.523
0.672 0.308 0.151
0.672 0.692 0.651
0.700 0.109 0.746
0.700 0.891 0.246
0.759 0.180 0.429
0.759 0.820 0.929
0.808 0.452 0.892
0.808 0.548 0.392
```